Theoretical X-ray powder pattern
Compound: Ba8Si6Sn
Radiation: Cu Kα X-rays
Structure: the PBE geometry in the Materials Project

Structure:
```
data_Ba8Si6Sn
_chemical_formula_sum 'Ba32 Si24 Sn4'
_cell_length_a 8.8348
_cell_length_b 8.8267
_cell_length_c 27.4330
_cell_angle_alpha 90.00
_cell_angle_beta 90.00
_cell_angle_gamma 90.00
_space_group_name_H-M_alt 'P b c n'
_space_group_IT_number 60
loop_
_space_group_symop_operation_xyz
'x,y,z'
'-x,-y,-z'
'-x+1/2,-y+1/2,z+1/2'
'x+1/2,y+1/2,-z+1/2'
'x+1/2,-y+1/2,-z'
'-x+1/2,y+1/2,z'
'-x,y,-z+1/2'
'x,-y,z+1/2'
loop_
_atom_site_label
_atom_site_type_symbol
_atom_site_fract_x
_atom_site_fract_y
_atom_site_fract_z
_atom_site_occupancy
Ba1 Ba 0.0503 0.1796 0.0862 1
Ba2 Ba 0.1747 0.1304 0.6752 1
Ba3 Ba 0.1854 0.4915 0.3141 1
Ba4 Ba 0.2118 0.4932 0.4782 1
Si1 Si 0.0599 0.2071 0.5460 1
Si2 Si 0.0701 0.4235 0.6006 1
Si3 Si 0.1314 0.2325 0.8923 1
Sn1 Sn 0.0000 0.1740 0.2500 1
```

The 6 most intense peaks (2θ = 10–90°), low angle first:
(hkl), 2theta, intensity
2 1 2, 23.4, 49
2 1 5, 27.8, 29
2 0 6, 28.1, 100
2 2 0, 28.6, 36
1 2 6, 29.9, 42
1 3 0, 32.1, 41



Theoretical X-ray powder pattern
Compound: BaSrSi4
Radiation: Cu Kα X-rays
Structure: the PBE geometry in the Materials Project

Structure:
```
data_BaSrSi4
_chemical_formula_sum 'Ba4 Sr4 Si16'
_cell_length_a 9.3687
_cell_length_b 9.4756
_cell_length_c 6.6707
_cell_angle_alpha 90.00
_cell_angle_beta 90.00
_cell_angle_gamma 90.00
_space_group_name_H-M_alt 'C 2 2 21'
_space_group_IT_number 20
loop_
_space_group_symop_operation_xyz
'x,y,z'
'-x,-y,z+1/2'
'x,-y,-z'
'-x,y,-z+1/2'
'x+1/2,y+1/2,z'
'-x+1/2,-y+1/2,z+1/2'
'x+1/2,-y+1/2,-z'
'-x+1/2,y+1/2,-z+1/2'
loop_
_atom_site_label
_atom_site_type_symbol
_atom_site_fract_x
_atom_site_fract_y
_atom_site_fract_z
_atom_site_occupancy
Ba1 Ba 0.0000 0.1255 0.2500 1
Sr1 Sr 0.1245 0.5000 0.5000 1
Si1 Si 0.1273 0.2097 0.7909 1
Si2 Si 0.2008 0.3771 0.0469 1
```

The 6 most intense peaks (2θ = 10–90°), low angle first:
(hkl), 2theta, intensity
1 1 1, 18.8, 21
1 3 0, 29.9, 24
2 2 1, 30.0, 100
3 1 0, 30.1, 25
1 3 1, 32.8, 41
2 0 2, 33.0, 47



Theoretical X-ray powder pattern
Compound: BaSrSi4
Radiation: Cu Kα X-rays
Structure: the PBE geometry in the Materials Project

Structure:
```
data_BaSrSi4
_chemical_formula_sum 'Ba4 Sr4 Si16'
_cell_length_a 8.9566
_cell_length_b 6.6373
_cell_length_c 11.3530
_cell_angle_alpha 90.00
_cell_angle_beta 90.00
_cell_angle_gamma 90.00
_space_group_name_H-M_alt 'P n m a'
_space_group_IT_number 62
loop_
_space_group_symop_operation_xyz
'x,y,z'
'-x,-y,-z'
'-x+1/2,-y,z+1/2'
'x+1/2,y,-z+1/2'
'x+1/2,-y+1/2,-z+1/2'
'-x+1/2,y+1/2,z+1/2'
'-x,y+1/2,-z'
'x,-y+1/2,z'
loop_
_atom_site_label
_atom_site_type_symbol
_atom_site_fract_x
_atom_site_fract_y
_atom_site_fract_z
_atom_site_occupancy
Ba1 Ba 0.0175 0.2500 0.1909 1
Sr1 Sr 0.1510 0.7500 0.4068 1
Si1 Si 0.0834 0.7500 0.0946 1
Si2 Si 0.1906 0.0686 0.6466 1
Si3 Si 0.1993 0.2500 0.4634 1
```

The 6 most intense peaks (2θ = 10–90°), low angle first:
(hkl), 2theta, intensity
1 1 2, 22.9, 70
2 1 1, 25.3, 100
0 2 0, 26.9, 51
0 1 3, 27.1, 46
3 0 1, 31.0, 45
3 2 1, 41.4, 29



Theoretical X-ray powder pattern
Compound: BaSiTc2
Radiation: Cu Kα X-rays
Structure: the PBE geometry in the Materials Project

Structure:
```
data_BaSiTc2
_chemical_formula_sum 'Ba4 Si4 Tc8'
_cell_length_a 6.7851
_cell_length_b 6.7851
_cell_length_c 6.7851
_cell_angle_alpha 90.00
_cell_angle_beta 90.00
_cell_angle_gamma 90.00
_space_group_name_H-M_alt 'F -4 3 m'
_space_group_IT_number 216
_space_group_name_Hall 'F -4 2 3'
loop_
_atom_site_label
_atom_site_type_symbol
_atom_site_fract_x
_atom_site_fract_y
_atom_site_fract_z
_atom_site_occupancy
Ba1 Ba 0.0000 0.0000 0.0000 1
Si1 Si 0.2500 0.2500 0.2500 1
Tc1 Tc 0.0000 0.0000 0.5000 1
Tc2 Tc 0.2500 0.2500 0.7500 1
```

The 6 most intense peaks (2θ = 10–90°), low angle first:
(hkl), 2theta, intensity
1 1 1, 22.7, 11
2 0 0, 26.3, 10
2 2 0, 37.5, 100
4 0 0, 54.1, 17
4 2 2, 67.6, 34
4 4 0, 80.0, 11



Theoretical X-ray powder pattern
Compound: BaZnSi
Radiation: Cu Kα X-rays
Structure: the PBE geometry in the Materials Project

Structure:
```
data_BaZnSi
_chemical_formula_sum 'Ba2 Zn2 Si2'
_cell_length_a 4.3974
_cell_length_b 4.3974
_cell_length_c 9.8167
_cell_angle_alpha 90.00
_cell_angle_beta 90.00
_cell_angle_gamma 120.00
_space_group_name_H-M_alt 'P 63/m m c'
_space_group_IT_number 194
_space_group_name_Hall '-P 6c 2c'
loop_
_atom_site_label
_atom_site_type_symbol
_atom_site_fract_x
_atom_site_fract_y
_atom_site_fract_z
_atom_site_occupancy
Ba1 Ba 0.0000 0.0000 0.0000 1
Zn1 Zn 0.3333 0.6667 0.2500 1
Si1 Si 0.3333 0.6667 0.7500 1
```

The 6 most intense peaks (2θ = 10–90°), low angle first:
(hkl), 2theta, intensity
1 0 0, 23.4, 18
1 0 2, 29.7, 100
1 1 0, 41.1, 33
2 0 2, 51.5, 21
1 1 4, 56.2, 26
2 1 2, 67.9, 18



Theoretical X-ray powder pattern
Compound: BaZn2Si2
Radiation: Cu Kα X-rays
Structure: the PBE geometry in the Materials Project

Structure:
```
data_BaZn2Si2
_chemical_formula_sum 'Ba2 Zn4 Si4'
_cell_length_a 4.5151
_cell_length_b 4.5151
_cell_length_c 10.2745
_cell_angle_alpha 90.00
_cell_angle_beta 90.00
_cell_angle_gamma 90.00
_space_group_name_H-M_alt 'I 4/m m m'
_space_group_IT_number 139
_space_group_name_Hall '-I 4 2'
loop_
_atom_site_label
_atom_site_type_symbol
_atom_site_fract_x
_atom_site_fract_y
_atom_site_fract_z
_atom_site_occupancy
Ba1 Ba 0.0000 0.0000 0.0000 1
Zn1 Zn 0.0000 0.5000 0.2500 1
Si1 Si 0.0000 0.0000 0.3790 1
```

The 6 most intense peaks (2θ = 10–90°), low angle first:
(hkl), 2theta, intensity
1 0 1, 21.5, 29
1 0 3, 32.8, 38
1 1 2, 33.0, 100
2 0 0, 39.9, 42
2 1 3, 52.6, 19
3 1 2, 68.2, 23